For Li3Fe2Si2O8, a structure optimized by DFT (GGA+U) gives the simulated PXRD pattern in this record (CuKα).
Lines closer than 0.1° are merged.

Structure:
a = 5.1247 Å, b = 6.6583 Å, c = 10.5463 Å
α = 90.00°, β = 91.09°, γ = 90.00°
Space group Pc (No. 7)
Symmetry-distinct sites (fractional):
Li  0.0000  0.0046  0.0000 (multiplicity 2)
Li  0.4021  0.2479  0.4249 (multiplicity 2)
Li  0.8877  0.2462  0.7485 (multiplicity 2)
Fe  0.4031  0.2665  0.9136 (multiplicity 2)
Fe  0.8908  0.2692  0.2497 (multiplicity 2)
Si  0.3941  0.0088  0.1731 (multiplicity 2)
Si  0.8836  0.4990  0.9968 (multiplicity 2)
O  0.0093  0.2959  0.4257 (multiplicity 2)
O  0.0682  0.0277  0.1956 (multiplicity 2)
O  0.4228  0.0044  0.0188 (multiplicity 2)
O  0.5137  0.1885  0.7417 (multiplicity 2)
O  0.5305  0.2082  0.2415 (multiplicity 2)
O  0.5717  0.4855  0.4701 (multiplicity 2)
O  0.9565  0.4986  0.6504 (multiplicity 2)
O  0.9971  0.2912  0.9326 (multiplicity 2)

Peak list (10 most intense, 5° ≤ 2θ ≤ 70°, by angle)
2theta  I/Imax
15.74  85
21.50  74
21.89  100
23.36  89
23.60  87
28.72  71
31.79  92
34.01  62
35.03  93
59.48  47